# Na3NiO2
Computed X-ray powder pattern, Cu Kα (λ = 1.5418 Å). Input: a crystal structure in Alexandria, relaxed with PBE+U.
No peak broadening, texture or thermal motion is included.

Structural model:
```
data_Na3NiO2
_chemical_formula_sum 'Na12 Ni4 O8'
_symmetry_space_group_name_H-M 'P 41 21 2'
_symmetry_Int_Tables_number 92
_symmetry_space_group_name_Hall 'P 4abw 2nw'
_cell_length_a 5.5320
_cell_length_b 5.5320
_cell_length_c 12.1410
_cell_angle_alpha 90.00
_cell_angle_beta 90.00
_cell_angle_gamma 90.00
loop_
_atom_site_label
_atom_site_fract_x
_atom_site_fract_y
_atom_site_fract_z
Na1 0.0223 0.4760 0.3753
Na2 0.0569 0.9431 0.2500
Ni1 0.0032 0.0032 0.5000
O1 0.2223 0.7673 0.0113
```

Principal peaks in the range 10° ≤ 2θ ≤ 90°, in order of rising 2θ:
d (Å)	I_rel	h k l
4.089	51.1	1 0 2
3.912	15.9	1 1 0
2.766	39.8	2 0 0
2.398	100.0	1 1 4
2.291	18.2	2 1 2
1.956	33.3	2 2 0
1.516	40.5	0 0 8
1.199	16.3	2 2 8